No. 1
# RbMgNbO3
Simulated X-ray diffraction stick pattern, Cu Kα, 1.54184 Å. Input: DFT lattice parameters and positions (GGA-PBE).
No peak broadening, texture or thermal motion is included.

Top 6 peaks for 2θ = 15–90°, sorted by position:
- 27.66°, intensity 100
- 30.32°, intensity 74
- 35.26°, intensity 46
- 43.41°, intensity 48
- 47.17°, intensity 46
- 57.11°, intensity 40

Structure:
```
data_RbMgNbO3
_chemical_formula_sum 'Rb1 Mg1 Nb1 O3'
_symmetry_space_group_name_H-M 'P 1'
_symmetry_Int_Tables_number 1
_cell_length_a 4.169
_cell_length_b 4.169
_cell_length_c 5.091
_cell_angle_alpha 90.00
_cell_angle_beta 90.00
_cell_angle_gamma 90.00
loop_
_symmetry_equiv_pos_as_xyz
'x,y,z'
loop_
_atom_site_label
_atom_site_fract_x
_atom_site_fract_y
_atom_site_fract_z
Rb1 0.000 0.000 0.000
Mg1 0.000 0.000 0.500
Nb1 0.500 0.500 0.500
O1 0.000 0.500 0.500
O2 0.500 0.000 0.500
O3 0.500 0.500 0.000
```

***

No. 2
# RbMgNbO3
Simulated X-ray diffraction stick pattern, Cu Kα, 1.54184 Å. Input: DFT lattice parameters and positions (GGA-PBE).
No peak broadening, texture or thermal motion is included.

Top 6 peaks for 2θ = 15–90°, sorted by position:
- 22.72°, intensity 68
- 24.31°, intensity 58
- 27.69°, intensity 100
- 36.11°, intensity 30
- 37.17°, intensity 56
- 44.31°, intensity 22

Structure:
```
data_RbMgNbO3
_chemical_formula_sum 'Rb2 Mg2 Nb2 O6'
_symmetry_space_group_name_H-M 'P 1'
_symmetry_Int_Tables_number 1
_cell_length_a 8.215
_cell_length_b 6.442
_cell_length_c 5.220
_cell_angle_alpha 90.00
_cell_angle_beta 107.60
_cell_angle_gamma 90.00
loop_
_symmetry_equiv_pos_as_xyz
'x,y,z'
loop_
_atom_site_label
_atom_site_fract_x
_atom_site_fract_y
_atom_site_fract_z
Rb1 0.000 0.000 0.000
Rb2 0.500 0.500 0.000
Mg1 0.335 0.000 0.667
Mg2 0.835 0.500 0.667
Nb1 0.097 0.500 0.405
Nb2 0.597 0.000 0.405
O1 0.193 0.249 0.560
O2 0.193 0.751 0.560
O3 0.443 0.000 0.058
O4 0.693 0.251 0.560
O5 0.693 0.749 0.560
O6 0.943 0.500 0.058
```

***

No. 3
# Rb3MgNbO8
Simulated X-ray diffraction stick pattern, Cu Kα, 1.54184 Å. Input: DFT lattice parameters and positions (GGA-PBE).
No peak broadening, texture or thermal motion is included.

Top 6 peaks for 2θ = 15–90°, sorted by position:
- 24.14°, intensity 100
- 24.70°, intensity 47
- 26.02°, intensity 90
- 39.57°, intensity 45
- 40.53°, intensity 29
- 49.41°, intensity 26

Structure:
```
data_Rb3MgNbO8
_chemical_formula_sum 'Rb3 Mg1 Nb1 O8'
_symmetry_space_group_name_H-M 'P 1'
_symmetry_Int_Tables_number 1
_cell_length_a 7.127
_cell_length_b 7.127
_cell_length_c 5.904
_cell_angle_alpha 109.67
_cell_angle_beta 109.67
_cell_angle_gamma 60.76
loop_
_symmetry_equiv_pos_as_xyz
'x,y,z'
loop_
_atom_site_label
_atom_site_fract_x
_atom_site_fract_y
_atom_site_fract_z
Rb1 0.000 0.000 0.000
Rb2 0.172 0.252 0.690
Rb3 0.748 0.828 0.310
Mg1 0.548 0.452 0.000
Nb1 0.524 0.476 0.500
O1 0.210 0.526 0.475
O2 0.270 0.627 0.738
O3 0.373 0.730 0.262
O4 0.474 0.790 0.525
O5 0.491 0.268 0.155
O6 0.637 0.232 0.675
O7 0.732 0.509 0.845
O8 0.768 0.363 0.325
```

***

No. 4
# Rb3MgNbO8
Simulated X-ray diffraction stick pattern, Cu Kα, 1.54184 Å. Input: DFT lattice parameters and positions (GGA-PBE).
No peak broadening, texture or thermal motion is included.

Top 6 peaks for 2θ = 15–90°, sorted by position:
- 24.46°, intensity 85
- 24.73°, intensity 61
- 26.66°, intensity 100
- 30.28°, intensity 47
- 33.30°, intensity 33
- 41.95°, intensity 41

Structure:
```
data_Rb3MgNbO8
_chemical_formula_sum 'Rb3 Mg1 Nb1 O8'
_symmetry_space_group_name_H-M 'P 1'
_symmetry_Int_Tables_number 1
_cell_length_a 6.921
_cell_length_b 6.921
_cell_length_c 5.970
_cell_angle_alpha 110.69
_cell_angle_beta 110.69
_cell_angle_gamma 102.08
loop_
_symmetry_equiv_pos_as_xyz
'x,y,z'
loop_
_atom_site_label
_atom_site_fract_x
_atom_site_fract_y
_atom_site_fract_z
Rb1 0.000 0.000 0.000
Rb2 0.123 0.710 0.439
Rb3 0.710 0.123 0.439
Mg1 0.538 0.538 0.585
Nb1 0.484 0.484 0.030
O1 0.208 0.208 0.721
O2 0.282 0.282 0.552
O3 0.309 0.687 0.950
O4 0.352 0.352 0.202
O5 0.512 0.762 0.912
O6 0.687 0.309 0.950
O7 0.695 0.695 0.420
O8 0.762 0.512 0.912
```